[1]
Diffraction record for CaB2H8. The powder XRD pattern is calculated, not measured: it uses a structure optimized by DFT (GGA-PBE) and Cu Kα, 1.54184 Å.
Kinematic intensities with the Lorentz-polarization factor, no thermal factor.

Cell lengths 7.868, 5.805, 7.596 Å; angles 70.46, 44.05, 65.49 degrees
Atoms (fractional coordinates):
Ca (0.000, 0.000, 0.000)
Ca (0.250, 0.250, 0.250)
B (0.037, 0.465, 0.021)
B (0.229, 0.773, 0.213)
B (0.465, 0.037, 0.477)
B (0.773, 0.229, 0.785)
H (0.021, 0.928, 0.332)
H (0.141, 0.622, 0.846)
H (0.210, 0.272, 0.963)
H (0.223, 0.600, 0.362)
H (0.272, 0.210, 0.555)
H (0.287, 0.695, 0.040)
H (0.404, 0.859, 0.109)
H (0.434, 0.888, 0.650)
H (0.530, 0.918, 0.322)
H (0.600, 0.223, 0.816)
H (0.622, 0.141, 0.391)
H (0.695, 0.287, 0.978)
H (0.859, 0.404, 0.628)
H (0.888, 0.434, 0.027)
H (0.918, 0.530, 0.229)
H (0.928, 0.021, 0.720)

Largest 10 diffraction maxima, in order of rising 2θ, 15 to 90 degrees two-theta:
16.81°, rel. 100
25.59°, rel. 14
27.21°, rel. 22
31.05°, rel. 33
33.71°, rel. 17
37.24°, rel. 10
37.70°, rel. 15
41.75°, rel. 22
47.89°, rel. 7
48.26°, rel. 7

[2]
Diffraction record for CaB2H8. The powder XRD pattern is calculated, not measured: it uses a structure optimized by DFT (GGA-PBE) and Cu Kα, 1.54184 Å.
Kinematic intensities with the Lorentz-polarization factor, no thermal factor.

Cell lengths 7.920, 7.582, 5.778 Å; angles 71.26, 65.04, 43.70 degrees
Atoms (fractional coordinates):
Ca (0.125, 0.125, 0.125)
Ca (0.875, 0.875, 0.875)
B (0.096, 0.096, 0.654)
B (0.346, 0.346, 0.904)
B (0.654, 0.654, 0.096)
B (0.904, 0.904, 0.346)
H (0.028, 0.272, 0.498)
H (0.093, 0.822, 0.158)
H (0.158, 0.428, 0.093)
H (0.178, 0.907, 0.572)
H (0.272, 0.028, 0.702)
H (0.298, 0.502, 0.728)
H (0.428, 0.158, 0.822)
H (0.498, 0.702, 0.028)
H (0.502, 0.298, 0.972)
H (0.572, 0.842, 0.178)
H (0.702, 0.498, 0.272)
H (0.728, 0.972, 0.298)
H (0.822, 0.093, 0.428)
H (0.842, 0.572, 0.907)
H (0.907, 0.178, 0.842)
H (0.972, 0.728, 0.502)

Largest 10 diffraction maxima, in order of rising 2θ, 15 to 90 degrees two-theta:
16.93°, rel. 100
24.34°, rel. 7
25.59°, rel. 14
27.07°, rel. 23
31.35°, rel. 32
33.53°, rel. 17
37.59°, rel. 15
38.03°, rel. 10
41.89°, rel. 23
47.99°, rel. 11